# 1
Theoretical XRD peak list of YRe3B3 for a wavelength of 1.5418 Å, from the PBE geometry in Alexandria.
No peak broadening, texture or thermal motion is included.

Cell lengths 8.125, 8.125, 3.084 Å; angles 90.00, 90.00, 120.00 degrees
Atoms (fractional coordinates):
Y 0.333 0.667 0.250
Y 0.667 0.333 0.750
Re 0.067 0.306 0.750
Re 0.238 0.933 0.750
Re 0.306 0.238 0.250
Re 0.694 0.762 0.750
Re 0.762 0.067 0.250
Re 0.933 0.694 0.250
B 0.039 0.569 0.750
B 0.431 0.470 0.750
B 0.470 0.039 0.250
B 0.530 0.961 0.750
B 0.569 0.530 0.250
B 0.961 0.431 0.250

Main lines, in order of rising 2θ (5 to 70 degrees two-theta):
2theta  d (Å)  I_rel
21.88  4.063  30
25.31  3.518  58
33.70  2.660  40
36.58  2.457  100
38.83  2.319  99
45.01  2.014  52
46.53  1.952  70
65.23  1.430  36



# 2
Theoretical XRD peak list of SrHfS3 for a wavelength of 1.5418 Å, from the PBE geometry in Alexandria.
No peak broadening, texture or thermal motion is included.

Cell lengths 6.979, 6.979, 6.979 Å; angles 60.13, 60.13, 60.13 degrees
Atoms (fractional coordinates):
Sr 0.000 0.000 0.000
Sr 0.500 0.500 0.500
Hf 0.229 0.229 0.229
Hf 0.729 0.729 0.729
S 0.057 0.896 0.469
S 0.396 0.557 0.969
S 0.469 0.057 0.896
S 0.557 0.969 0.396
S 0.896 0.469 0.057
S 0.969 0.396 0.557

Main lines, in order of rising 2θ (5 to 70 degrees two-theta):
2theta  d (Å)  I_rel
17.96  4.940  32
25.50  3.493  100
36.38  2.470  40
40.86  2.208  22
44.92  2.018  44
52.33  1.748  11
52.44  1.745  11
59.15  1.562  18



# 3
Theoretical XRD peak list of CaSmAlHg for a wavelength of 1.5418 Å, from the PBE geometry in Alexandria.
No peak broadening, texture or thermal motion is included.

Cell lengths 3.671, 3.671, 7.789 Å; angles 90.00, 90.00, 90.00 degrees
Atoms (fractional coordinates):
Ca 0.000 0.000 0.000
Sm 0.000 0.000 0.488
Al 0.500 0.500 0.250
Hg 0.500 0.500 0.749

Main lines, in order of rising 2θ (5 to 70 degrees two-theta):
2theta  d (Å)  I_rel
11.36  7.789  63
26.85  3.321  45
33.55  2.671  100
34.55  2.596  53
36.48  2.463  17
49.66  1.836  27
59.33  1.558  20
61.27  1.513  35



# 4
Theoretical XRD peak list of Tb2Sc5 for a wavelength of 1.5418 Å, from the PBE geometry in Alexandria.
No peak broadening, texture or thermal motion is included.

Cell lengths 11.507, 5.348, 6.107 Å; angles 90.00, 97.16, 90.00 degrees
Atoms (fractional coordinates):
Tb 0.083 0.000 0.281
Tb 0.417 0.500 0.719
Tb 0.583 0.500 0.281
Tb 0.917 0.000 0.719
Sc 0.000 0.500 0.000
Sc 0.133 0.500 0.596
Sc 0.228 0.000 0.844
Sc 0.272 0.500 0.156
Sc 0.367 0.000 0.404
Sc 0.500 0.000 0.000
Sc 0.633 0.000 0.596
Sc 0.728 0.500 0.844
Sc 0.772 0.000 0.156
Sc 0.867 0.500 0.404

Main lines, in order of rising 2θ (5 to 70 degrees two-theta):
2theta  d (Å)  I_rel
18.32  4.843  49
31.04  2.881  35
32.98  2.716  49
33.52  2.674  52
33.79  2.653  100
34.07  2.632  96
47.74  1.905  40
61.32  1.512  25



# 5
Theoretical XRD peak list of Cr2AsH2 for a wavelength of 1.5418 Å, from the PBE geometry in Alexandria.
No peak broadening, texture or thermal motion is included.

Cell lengths 2.959, 2.959, 9.889 Å; angles 90.00, 90.00, 90.00 degrees
Atoms (fractional coordinates):
Cr 0.000 0.000 0.149
Cr 0.000 0.000 0.851
Cr 0.500 0.500 0.351
Cr 0.500 0.500 0.649
As 0.000 0.000 0.500
As 0.500 0.500 0.000
H 0.000 0.500 0.250
H 0.000 0.500 0.750
H 0.500 0.000 0.250
H 0.500 0.000 0.750

Main lines, in order of rising 2θ (5 to 70 degrees two-theta):
2theta  d (Å)  I_rel
17.94  4.945  11
40.99  2.202  100
43.24  2.092  44
47.17  1.927  5
55.77  1.648  8
55.92  1.644  8
62.81  1.480  14
65.90  1.417  2



# 6
Theoretical XRD peak list of Dy3Ho8Sc for a wavelength of 1.5418 Å, from the PBE geometry in Alexandria.
No peak broadening, texture or thermal motion is included.

Cell lengths 9.301, 9.301, 9.301 Å; angles 131.80, 131.80, 70.55 degrees
Atoms (fractional coordinates):
Dy 0.000 0.000 0.000
Dy 0.250 0.750 0.500
Dy 0.750 0.250 0.500
Ho 0.131 0.131 0.508
Ho 0.131 0.623 0.000
Ho 0.377 0.377 0.508
Ho 0.377 0.869 0.000
Ho 0.623 0.131 0.000
Ho 0.623 0.623 0.492
Ho 0.869 0.377 0.000
Ho 0.869 0.869 0.492
Sc 0.500 0.500 0.000

Main lines, in order of rising 2θ (5 to 70 degrees two-theta):
2theta  d (Å)  I_rel
20.25  4.385  19
23.43  3.797  22
33.37  2.685  100
39.35  2.290  11
41.17  2.192  7
47.91  1.899  18
54.00  1.698  9
59.64  1.550  38